(1)
Calculated X-ray diffraction stick pattern of DyHo2Zn9 for Cu Kα, 1.54184 Å, from a PBE-relaxed structure.

Top 12 peaks for 10° ≤ 2θ ≤ 90°, sorted by position:
d [Å]  Rel. int.
2.889  41
2.714  53
2.648  39
2.340  40
2.291  100
2.137  29
2.088  13
1.599  15
1.554  14
1.471  24
1.446  24
1.357  24

Crystal structure
```
data_DyHo2Zn9
_symmetry_space_group_name_H-M 'R -3 m'
_symmetry_Int_Tables_number 166
_symmetry_space_group_name_Hall '-R 3 2"'
_cell_length_a 5.4276
_cell_length_b 5.4276
_cell_length_c 25.6420
_cell_angle_alpha 90.00
_cell_angle_beta 90.00
_cell_angle_gamma 120.00
loop_
_atom_site_label
_atom_site_fract_x
_atom_site_fract_y
_atom_site_fract_z
Dy1 0.0000 0.0000 0.0000
Ho1 0.0000 0.0000 0.1398
Zn1 0.0000 0.0000 0.3349
Zn2 0.0000 0.0000 0.5000
Zn3 0.0060 0.5030 0.9175
```

(2)
Calculated X-ray diffraction stick pattern of Pm12Ni5Sn for Cu Kα, 1.54184 Å, from a PBE-relaxed structure.

Top 12 peaks for 10° ≤ 2θ ≤ 90°, sorted by position:
d [Å]  Rel. int.
3.221  33
3.131  34
3.032  38
2.852  100
2.676  70
2.658  71
2.619  26
2.590  40
1.740  23
1.677  21
1.609  27
1.573  36

Crystal structure
```
data_Pm12Ni5Sn
_symmetry_space_group_name_H-M 'I m m m'
_symmetry_Int_Tables_number 71
_symmetry_space_group_name_Hall '-I 2 2'
_cell_length_a 9.5597
_cell_length_b 9.8633
_cell_length_c 10.2525
_cell_angle_alpha 90.00
_cell_angle_beta 90.00
_cell_angle_gamma 90.00
loop_
_atom_site_label
_atom_site_fract_x
_atom_site_fract_y
_atom_site_fract_z
Pm1 0.0000 0.1894 0.2059
Pm2 0.1931 0.5000 0.1780
Pm3 0.1997 0.3180 0.5000
Ni1 0.0000 0.0000 0.0000
Ni2 0.0000 0.3685 0.0000
Ni3 0.0000 0.5000 0.3767
Sn1 0.0000 0.0000 0.5000
```

(3)
Calculated X-ray diffraction stick pattern of Na2TmCrSe4 for Cu Kα, 1.54184 Å, from a PBE-relaxed structure.

Top 12 peaks for 10° ≤ 2θ ≤ 90°, sorted by position:
d [Å]  Rel. int.
6.978  52
3.367  7
2.854  100
2.247  17
2.079  23
2.066  11
1.975  12
1.961  22
1.624  12
1.427  9
1.307  8
1.247  9

Crystal structure
```
data_Na2TmCrSe4
_symmetry_space_group_name_H-M 'P 1 2/m 1'
_symmetry_Int_Tables_number 10
_cell_length_a 6.7765
_cell_length_b 3.9503
_cell_length_c 7.3462
_cell_angle_alpha 90.00
_cell_angle_beta 108.22
_cell_angle_gamma 90.00
loop_
_symmetry_equiv_pos_as_xyz
'x,y,z'
'-x,-y,-z'
'-x,y,-z'
'x,-y,z'
loop_
_atom_site_label
_atom_site_fract_x
_atom_site_fract_y
_atom_site_fract_z
Na1 0.0000 0.0000 0.0000
Na2 0.5000 0.5000 0.0000
Tm1 0.0000 0.5000 0.5000
Cr1 0.5000 0.0000 0.5000
Se1 0.2600 0.0000 0.7216
Se2 0.2858 0.5000 0.2927
```